Entry 1:
Diffraction record for BaPmCuN2. The powder XRD pattern is computed, not measured: it uses a crystal structure in Alexandria, relaxed with PBE and Cu Kα.
Intensities are scaled so that the largest is 1000.

Structural model:
Unit cell a=5.9230 b=5.2356 c=6.9346 alpha=90.00 beta=90.49 gamma=90.00
Sites, in units of the cell vectors:
Ba: 0.0000 0.0043 0.2500
Ba: 0.0000 0.9957 0.7500
Pm: 0.5000 0.4992 0.7500
Pm: 0.5000 0.5008 0.2500
Cu: 0.5000 0.0000 0.0000
Cu: 0.5000 0.0000 0.5000
N: 0.2958 0.2725 0.9989
N: 0.2958 0.7275 0.4989
N: 0.7042 0.2725 0.5011
N: 0.7042 0.7275 0.0011

Largest 10 diffraction maxima, in order of falling intensity, 10° ≤ 2θ ≤ 90°:
2θ/deg	Rel. int.
22.67	1000
34.42	938
34.63	923
30.18	582
46.29	453
34.25	408
25.69	267
14.96	262
56.23	229
56.65	224



Entry 2:
Diffraction record for BaPrCuN2. The powder XRD pattern is computed, not measured: it uses a crystal structure in Alexandria, relaxed with PBE and Cu Kα.
Intensities are scaled so that the largest is 1000.

Structural model:
Unit cell a=5.3170 b=5.9049 c=7.0313 alpha=90.00 beta=90.00 gamma=90.00
Sites, in units of the cell vectors:
Ba: 0.0000 0.0000 0.2500
Ba: 0.0000 0.0000 0.7500
Pr: 0.5000 0.5000 0.2500
Pr: 0.5000 0.5000 0.7500
Cu: 0.0000 0.5000 0.0000
Cu: 0.0000 0.5000 0.5000
N: 0.2675 0.2940 0.0000
N: 0.2675 0.7060 0.5000
N: 0.7325 0.2940 0.5000
N: 0.7325 0.7060 0.0000

Largest 10 diffraction maxima, in order of falling intensity, 10° ≤ 2θ ≤ 90°:
2θ/deg	Rel. int.
34.14	1000
22.50	518
30.27	299
45.94	242
56.29	236
33.71	221
60.57	189
39.87	142
25.33	140
15.00	124



Entry 3:
Diffraction record for BaPu2CuN4. The powder XRD pattern is computed, not measured: it uses a crystal structure in Alexandria, relaxed with PBE and Cu Kα.
Intensities are scaled so that the largest is 1000.

Structural model:
Unit cell a=6.1594 b=6.1594 c=11.5810 alpha=90.00 beta=90.00 gamma=146.45
Sites, in units of the cell vectors:
Ba: 0.0968 0.9032 0.7500
Ba: 0.9032 0.0968 0.2500
Pu: 0.3673 0.6327 0.5566
Pu: 0.3673 0.6327 0.9434
Pu: 0.6327 0.3673 0.0566
Pu: 0.6327 0.3673 0.4434
Cu: 0.1747 0.8253 0.2500
Cu: 0.8253 0.1747 0.7500
N: 0.0000 0.0000 0.0000
N: 0.0000 0.0000 0.5000
N: 0.2511 0.7489 0.0967
N: 0.2511 0.7489 0.4033
N: 0.4146 0.5854 0.7500
N: 0.5854 0.4146 0.2500
N: 0.7489 0.2511 0.5967
N: 0.7489 0.2511 0.9033

Largest 10 diffraction maxima, in order of falling intensity, 10° ≤ 2θ ≤ 90°:
2θ/deg	Rel. int.
27.62	1000
30.46	911
37.48	679
30.31	555
52.22	514
34.90	361
35.15	334
52.59	294
47.48	283
60.84	273